[1]
AgAu2Br2: theoretical PXRD pattern (CuKα), based on a structure optimized by DFT (GGA-PBE).

Main lines, sorted by position (2θ from 5° to 70°):
2θ 10.6, I 55
2θ 21.4, I 39
2θ 34.9, I 100
2θ 35.8, I 22
2θ 39.8, I 36
2θ 47.5, I 29

Structural model:
abc: 3.826 3.826 16.619
angles: 90.00 90.00 90.00
Atoms (fractional coordinates):
Ag (0.000, 0.000, 0.000)
Ag (0.500, 0.500, 0.500)
Au (0.000, 0.500, 0.250)
Au (0.000, 0.500, 0.750)
Au (0.500, 0.000, 0.250)
Au (0.500, 0.000, 0.750)
Br (0.000, 0.000, 0.405)
Br (0.000, 0.000, 0.595)
Br (0.500, 0.500, 0.095)
Br (0.500, 0.500, 0.905)



[2]
Ag3Au3Br8: theoretical PXRD pattern (CuKα), based on a structure optimized by DFT (GGA-PBE).

Main lines, sorted by position (2θ from 5° to 70°):
2θ 21.7, I 41
2θ 25.2, I 42
2θ 25.4, I 100
2θ 30.7, I 47
2θ 43.7, I 68
2θ 44.1, I 68

Structural model:
abc: 8.288 8.288 8.288
angles: 59.35 59.35 59.35
Atoms (fractional coordinates):
Ag (0.000, 0.500, 0.500)
Ag (0.500, 0.000, 0.500)
Ag (0.500, 0.500, 0.000)
Au (0.130, 0.130, 0.130)
Au (0.500, 0.500, 0.500)
Au (0.870, 0.870, 0.870)
Br (0.260, 0.260, 0.260)
Br (0.262, 0.262, 0.736)
Br (0.262, 0.736, 0.262)
Br (0.264, 0.738, 0.738)
Br (0.736, 0.262, 0.262)
Br (0.738, 0.264, 0.738)
Br (0.738, 0.738, 0.264)
Br (0.740, 0.740, 0.740)